Calculated XRD peak list
Compound: KUClO3
Radiation: copper Kα
Structure: the PBE geometry in the Materials Project
Kinematic intensities with the Lorentz-polarization factor, no thermal factor.

Largest 12 diffraction maxima, by angle, 15° ≤ 2θ ≤ 90°:
| (hkl) | d_spacing | 2theta | I (rel.) |
| --- | --- | --- | --- |
| 0 0 2 | 4.330 | 20.51 | 32 |
| 0 1 1 | 3.718 | 23.93 | 42 |
| 2 0 -1 | 3.586 | 24.83 | 53 |
| 1 1 0 | 3.551 | 25.08 | 29 |
| 1 0 2 | 3.325 | 26.81 | 21 |
| 1 1 1 | 3.146 | 28.37 | 100 |
| 0 1 2 | 2.984 | 29.95 | 50 |
| 1 1 -2 | 2.938 | 30.42 | 51 |
| 0 0 3 | 2.887 | 30.98 | 24 |
| 2 1 -3 | 2.183 | 41.36 | 18 |
| 1 1 3 | 2.111 | 42.85 | 19 |
| 0 2 0 | 2.058 | 43.99 | 20 |

Atomic structure:
Unit cell a=7.2585 b=4.1167 c=8.9577 alpha=90.00 beta=104.79 gamma=90.00
Fractional coordinates of all 12 atoms:
K1 0.1406 0.2500 0.2553
K2 0.8594 0.7500 0.7447
U1 0.3872 0.2500 0.8273
U2 0.6128 0.7500 0.1727
Cl1 0.2298 0.7500 0.5897
Cl2 0.7702 0.2500 0.4103
O1 0.1515 0.2500 0.8719
O2 0.3893 0.7500 0.2358
O3 0.4516 0.7500 0.9165
O4 0.5484 0.2500 0.0835
O5 0.6107 0.2500 0.7642
O6 0.8485 0.7500 0.1281